Calculated XRD peak list
Compound: KRb6Hg6
Radiation: λ = 1.5418 Å (Cu Kα)
Structure: a crystal structure in Alexandria, relaxed with PBE
Neutral-atom scattering factors, no anomalous dispersion.

Most intense lines, 10 to 90 degrees two-theta, sorted by position:
| h k l | Position (°2θ) | I/Imax |
| --- | --- | --- |
| 0 2 0 | 14.17 | 63 |
| 0 0 4 | 27.40 | 26 |
| 2 0 2 | 27.76 | 79 |
| 0 4 0 | 28.57 | 37 |
| 0 2 4 | 30.97 | 52 |
| 2 2 2 | 31.29 | 100 |
| 2 4 2 | 40.25 | 27 |
| 2 4 6 | 57.37 | 28 |

Structural model:
a b c (Å): 7.394 12.497 13.022
angles (deg): 90.00 90.00 90.00
Space group Immm (No. 71)
Inequivalent atoms, fractional coordinates:
K 0.000 0.000 0.000
Rb 0.000 0.000 0.340
Rb 0.000 0.316 0.000
Rb 0.000 0.500 0.328
Hg 0.000 0.258 0.500
Hg 0.250 0.250 0.250



Calculated XRD peak list
Compound: AcTmCu2Te4
Radiation: λ = 1.5418 Å (Cu Kα)
Structure: a crystal structure in Alexandria, relaxed with PBE
Neutral-atom scattering factors, no anomalous dispersion.

Most intense lines, 10 to 90 degrees two-theta, sorted by position:
| h k l | Position (°2θ) | I/Imax |
| --- | --- | --- |
| 1 1 0 | 16.54 | 37 |
| 1 1 2 | 26.55 | 100 |
| 1 2 1 | 27.68 | 29 |
| 0 2 2 | 30.71 | 62 |
| 2 0 2 | 32.16 | 65 |
| 2 2 0 | 33.43 | 95 |
| 3 1 2 | 44.28 | 27 |
| 1 1 4 | 45.39 | 43 |

Structural model:
a b c (Å): 7.297 7.903 8.613
angles (deg): 90.00 90.00 90.00
Space group I222 (No. 23)
Inequivalent atoms, fractional coordinates:
Ac 0.000 0.000 0.000
Tm 0.000 0.000 0.500
Cu 0.000 0.500 0.145
Te 0.244 0.205 0.303